Entry 1:
This entry pairs a crystal structure of Dy4Te3P with its theoretical X-ray powder pattern. Radiation: CuKα. Structure: a PBE-relaxed structure.

Crystal structure
Unit cell a=7.4603 b=7.4603 c=4.2035 alpha=90.00 beta=90.00 gamma=108.72
Sites, in units of the cell vectors:
Dy 0.2145 0.2145 0.5000
Dy 0.2270 0.7730 0.0000
Dy 0.7730 0.2270 0.0000
Dy 0.7855 0.7855 0.5000
Te 0.0000 0.5000 0.5000
Te 0.5000 0.0000 0.5000
Te 0.5000 0.5000 0.0000
P 0.0000 0.0000 0.0000

Largest 8 diffraction maxima, in order of rising 2θ, 5 to 70 degrees two-theta:
3.025 Å, 29.53 deg, intensity 1000
2.763 Å, 32.41 deg, intensity 92
2.174 Å, 41.55 deg, intensity 111
2.140 Å, 42.23 deg, intensity 459
2.102 Å, 43.04 deg, intensity 128
1.766 Å, 51.75 deg, intensity 104
1.727 Å, 53.02 deg, intensity 126
1.352 Å, 69.51 deg, intensity 86


Entry 2:
This entry pairs a crystal structure of Dy2UP3 with its theoretical X-ray powder pattern. Radiation: CuKα. Structure: a PBE-relaxed structure.

Crystal structure
Unit cell a=8.8747 b=8.8747 c=8.8747 alpha=154.07 beta=154.07 gamma=37.00
Sites, in units of the cell vectors:
Dy 0.1679 0.1679 0.0000
Dy 0.8321 0.8321 0.0000
U 0.5000 0.5000 0.0000
P 0.0000 0.0000 0.0000
P 0.3358 0.3358 0.0000
P 0.6642 0.6642 0.0000

Largest 8 diffraction maxima, in order of rising 2θ, 5 to 70 degrees two-theta:
3.247 Å, 27.47 deg, intensity 1000
2.816 Å, 31.78 deg, intensity 696
2.805 Å, 31.90 deg, intensity 344
1.989 Å, 45.62 deg, intensity 764
1.697 Å, 54.02 deg, intensity 329
1.693 Å, 54.18 deg, intensity 163
1.624 Å, 56.69 deg, intensity 268
1.408 Å, 66.40 deg, intensity 84


Entry 3:
This entry pairs a crystal structure of DyU2P3 with its theoretical X-ray powder pattern. Radiation: CuKα. Structure: a PBE-relaxed structure.

Crystal structure
Unit cell a=5.5886 b=11.8875 c=7.8957 alpha=90.00 beta=90.01 gamma=90.00
Sites, in units of the cell vectors:
Dy 0.2497 0.0817 0.1243
Dy 0.2497 0.4183 0.6243
Dy 0.7503 0.5817 0.3757
Dy 0.7503 0.9183 0.8757
U 0.2497 0.0836 0.6233
U 0.2497 0.4164 0.1233
U 0.2506 0.7484 0.6248
U 0.2506 0.7516 0.1248
U 0.7494 0.2484 0.8752
U 0.7494 0.2516 0.3752
U 0.7503 0.5836 0.8767
U 0.7503 0.9164 0.3767
P 0.2494 0.2489 0.8742
P 0.2494 0.2511 0.3742
P 0.2503 0.5851 0.3709
P 0.2503 0.5847 0.8768
P 0.2503 0.9153 0.3768
P 0.2503 0.9149 0.8709
P 0.7497 0.0851 0.1291
P 0.7497 0.0847 0.6232
P 0.7497 0.4153 0.1232
P 0.7497 0.4149 0.6291
P 0.7506 0.7489 0.6258
P 0.7506 0.7511 0.1258

Largest 8 diffraction maxima, in order of rising 2θ, 5 to 70 degrees two-theta:
3.228 Å, 27.63 deg, intensity 1000
2.796 Å, 32.01 deg, intensity 965
1.981 Å, 45.80 deg, intensity 119
1.976 Å, 45.92 deg, intensity 593
1.687 Å, 54.37 deg, intensity 248
1.685 Å, 54.47 deg, intensity 249
1.616 Å, 56.98 deg, intensity 126
1.612 Å, 57.13 deg, intensity 126


Entry 4:
This entry pairs a crystal structure of DyZn3P3 with its theoretical X-ray powder pattern. Radiation: CuKα. Structure: a PBE-relaxed structure.

Crystal structure
Unit cell a=4.0010 b=4.0010 c=19.8517 alpha=90.00 beta=90.00 gamma=120.00
Sites, in units of the cell vectors:
Dy 0.0000 0.0000 0.0000
Dy 0.0000 0.0000 0.5000
Zn 0.3333 0.6667 0.1282
Zn 0.3333 0.6667 0.3718
Zn 0.3333 0.6667 0.7500
Zn 0.6667 0.3333 0.2500
Zn 0.6667 0.3333 0.6282
Zn 0.6667 0.3333 0.8718
P 0.3333 0.6667 0.2500
P 0.3333 0.6667 0.5837
P 0.3333 0.6667 0.9163
P 0.6667 0.3333 0.0837
P 0.6667 0.3333 0.4163
P 0.6667 0.3333 0.7500

Largest 8 diffraction maxima, in order of rising 2θ, 5 to 70 degrees two-theta:
9.926 Å, 8.91 deg, intensity 346
3.271 Å, 27.26 deg, intensity 1000
2.841 Å, 31.49 deg, intensity 669
2.611 Å, 34.35 deg, intensity 345
2.481 Å, 36.20 deg, intensity 280
2.393 Å, 37.59 deg, intensity 586
2.000 Å, 45.33 deg, intensity 680
1.557 Å, 59.34 deg, intensity 387


Entry 5:
This entry pairs a crystal structure of DyPaPdS4 with its theoretical X-ray powder pattern. Radiation: CuKα. Structure: a PBE-relaxed structure.

Crystal structure
Unit cell a=6.3653 b=6.5911 c=7.4534 alpha=90.00 beta=105.92 gamma=90.00
Sites, in units of the cell vectors:
Dy 0.2005 0.2500 0.0422
Dy 0.7995 0.7500 0.9578
Pa 0.2228 0.2500 0.5512
Pa 0.7772 0.7500 0.4488
Pd 0.2405 0.7500 0.3359
Pd 0.7595 0.2500 0.6641
S 0.0253 0.5167 0.7498
S 0.0253 0.9833 0.7498
S 0.4828 0.7500 0.1281
S 0.4875 0.7500 0.6369
S 0.5125 0.2500 0.3631
S 0.5172 0.2500 0.8719
S 0.9747 0.0167 0.2502
S 0.9747 0.4833 0.2502

Largest 8 diffraction maxima, in order of rising 2θ, 5 to 70 degrees two-theta:
4.485 Å, 19.79 deg, intensity 1000
3.296 Å, 27.06 deg, intensity 890
3.148 Å, 28.35 deg, intensity 430
3.123 Å, 28.59 deg, intensity 365
2.560 Å, 35.05 deg, intensity 856
2.519 Å, 35.64 deg, intensity 887
2.243 Å, 40.21 deg, intensity 528
1.711 Å, 53.56 deg, intensity 353


Entry 6:
This entry pairs a crystal structure of Dy2PaPd2S6 with its theoretical X-ray powder pattern. Radiation: CuKα. Structure: a PBE-relaxed structure.

Crystal structure
Unit cell a=6.5889 b=6.5889 c=6.3276 alpha=90.00 beta=90.00 gamma=120.00
Sites, in units of the cell vectors:
Dy 0.3333 0.6667 0.0000
Dy 0.6667 0.3333 0.0000
Pa 0.0000 0.0000 0.5000
Pd 0.3333 0.6667 0.5000
Pd 0.6667 0.3333 0.5000
S 0.0000 0.3331 0.7441
S 0.0000 0.6669 0.2559
S 0.3331 0.0000 0.7441
S 0.3331 0.3331 0.2559
S 0.6669 0.0000 0.2559
S 0.6669 0.6669 0.7441

Largest 8 diffraction maxima, in order of rising 2θ, 5 to 70 degrees two-theta:
4.238 Å, 20.96 deg, intensity 512
3.294 Å, 27.07 deg, intensity 800
3.164 Å, 28.21 deg, intensity 172
2.282 Å, 39.49 deg, intensity 1000
2.041 Å, 44.38 deg, intensity 153
1.902 Å, 47.82 deg, intensity 354
1.630 Å, 56.45 deg, intensity 162
1.461 Å, 63.69 deg, intensity 243